Structure and simulated X-ray powder pattern of Li3TiCu4O8 (a crystal structure in the Materials Project, relaxed with GGA-PBE; Cu Kα (λ = 1.5418 Å)).
Intensities are scaled so that the largest is 100.

Cell and atoms:
```
data_Li3TiCu4O8
_chemical_formula_sum 'Li6 Ti2 Cu8 O16'
_symmetry_space_group_name_H-M 'C 1 2/m 1'
_symmetry_Int_Tables_number 12
_symmetry_space_group_name_Hall '-C 2y'
_cell_length_a 10.935
_cell_length_b 5.762
_cell_length_c 5.664
_cell_angle_alpha 90.00
_cell_angle_beta 119.48
_cell_angle_gamma 90.00
loop_
_atom_site_label
_atom_site_type_symbol
_atom_site_fract_x
_atom_site_fract_y
_atom_site_fract_z
Li1 Li 0.000 0.000 0.000
Li2 Li 0.250 0.250 0.500
Ti1 Ti 0.000 0.500 0.500
Cu1 Cu 0.000 0.000 0.500
Cu2 Cu 0.000 0.500 0.000
Cu3 Cu 0.250 0.250 0.000
O1 O 0.025 0.268 0.270
O2 O 0.206 0.000 0.740
O3 O 0.216 0.500 0.744
```

Principal peaks in the range 2θ = 10–90°, by angle:
- 18.0°, d 4.930, intensity 26, hkl 0 0 1
- 18.5°, d 4.804, intensity 87, hkl 2 0 -1
- 22.0°, d 4.038, intensity 23, hkl 1 1 -1
- 36.1°, d 2.487, intensity 25, hkl 0 2 1
- 36.5°, d 2.465, intensity 43, hkl 2 2 0
- 37.4°, d 2.402, intensity 23, hkl 4 0 -2
- 37.8°, d 2.380, intensity 73, hkl 4 0 0
- 44.9°, d 2.019, intensity 100, hkl 2 2 -2
- 59.4°, d 1.556, intensity 36, hkl 2 2 2
- 60.8°, d 1.524, intensity 28, hkl 6 2 -2

***

Structure and simulated X-ray powder pattern of MgTe4Pb6Br4O12 (a crystal structure in the Materials Project, relaxed with GGA-PBE; Cu Kα (λ = 1.5418 Å)).
Intensities are scaled so that the largest is 100.

Cell and atoms:
```
data_MgTe4Pb6Br4O12
_chemical_formula_sum 'Mg1 Te4 Pb6 Br4 O12'
_symmetry_space_group_name_H-M 'P 1'
_symmetry_Int_Tables_number 1
_symmetry_space_group_name_Hall 'P 1'
_cell_length_a 5.885
_cell_length_b 9.142
_cell_length_c 12.187
_cell_angle_alpha 76.90
_cell_angle_beta 87.88
_cell_angle_gamma 73.91
loop_
_atom_site_label
_atom_site_type_symbol
_atom_site_fract_x
_atom_site_fract_y
_atom_site_fract_z
Mg1 Mg 0.000 0.000 0.000
Te1 Te 0.011 0.624 0.362
Te2 Te 0.236 0.119 0.531
Te3 Te 0.440 0.607 0.849
Te4 Te 0.633 0.259 0.006
Pb1 Pb 0.025 0.444 0.740
Pb2 Pb 0.171 0.283 0.176
Pb3 Pb 0.392 0.707 0.547
Pb4 Pb 0.447 0.817 0.189
Pb5 Pb 0.740 0.042 0.329
Pb6 Pb 0.817 0.916 0.696
Br1 Br 0.265 0.030 0.837
Br2 Br 0.588 0.436 0.277
Br3 Br 0.665 0.282 0.624
Br4 Br 0.942 0.735 0.043
O1 O 0.050 0.590 0.519
O2 O 0.079 0.956 0.550
O3 O 0.149 0.796 0.326
O4 O 0.181 0.676 0.728
O5 O 0.209 0.183 0.375
O6 O 0.355 0.412 0.872
O7 O 0.474 0.060 0.189
O8 O 0.541 0.968 0.538
O9 O 0.652 0.650 0.727
O10 O 0.697 0.767 0.345
O11 O 0.767 0.431 0.921
O12 O 0.952 0.140 0.105
```

Principal peaks in the range 2θ = 10–90°, by angle:
- 11.3°, d 7.829, intensity 39, hkl 0 1 1
- 14.9°, d 5.932, intensity 27, hkl 0 0 2
- 20.4°, d 4.350, intensity 30, hkl 0 2 1
- 26.2°, d 3.398, intensity 94, hkl 1 1 3
- 27.2°, d 3.283, intensity 100, hkl 1 0 -3
- 28.3°, d 3.150, intensity 63, hkl 0 2 -2
- 29.1°, d 3.069, intensity 70, hkl -1 2 1
- 30.2°, d 2.955, intensity 79, hkl 1 3 1
- 30.5°, d 2.936, intensity 73, hkl 2 1 0
- 43.5°, d 2.079, intensity 32, hkl 2 3 -2